# 1
Structure and theoretical powder X-ray diffraction pattern of RbSrTlSe3 (a PBE-relaxed structure; λ = 1.5418 Å (Cu Kα)).

Structure:
```
RbSrTlSe3
1.0
6.9133 -3.1545 0.0000
6.9133 3.1545 0.0000
-2.1066 0.0000 9.5634
Rb Sr Tl Se
2 2 2 6
Direct
0.1542 0.1542 0.0448
0.8458 0.8458 0.9552
0.1591 0.1591 0.5719
0.8409 0.8409 0.4281
0.4693 0.4693 0.6833
0.5307 0.5307 0.3167
0.0120 0.0120 0.2861
0.3348 0.3348 0.8353
0.3508 0.3508 0.4045
0.6492 0.6492 0.5955
0.6652 0.6652 0.1647
0.9880 0.9880 0.7139
```

Peak list (10 most intense, 2θ = 15–90°, in order of rising 2θ)
- 15.50°, I = 23
- 17.63°, I = 24
- 18.80°, I = 30
- 25.03°, I = 59
- 28.29°, I = 100
- 28.91°, I = 75
- 33.56°, I = 32
- 38.13°, I = 39
- 40.89°, I = 58
- 49.77°, I = 26

# 2
Structure and theoretical powder X-ray diffraction pattern of Ti5Ni2As5 (a PBE-relaxed structure; λ = 1.5418 Å (Cu Kα)).

Structure:
```
Ti5Ni2As5
1.0
-4.0713 4.0713 3.1698
4.0713 -4.0713 3.1698
4.0713 4.0713 -3.1698
Ti Ni As
5 2 5
Direct
0.0000 0.0000 0.0000
0.1995 0.1995 0.5944
0.1995 0.6052 0.0000
0.6052 0.1995 0.0000
0.6052 0.6052 0.4056
0.3554 0.8554 0.5000
0.8554 0.3554 0.5000
0.1032 0.3987 0.2954
0.1032 0.8078 0.7046
0.3987 0.1032 0.2954
0.5917 0.5917 0.0000
0.8078 0.1032 0.7046
```

Peak list (10 most intense, 2θ = 15–90°, in order of rising 2θ)
- 21.83°, I = 16
- 28.26°, I = 100
- 35.98°, I = 69
- 42.43°, I = 80
- 44.51°, I = 48
- 45.38°, I = 65
- 49.89°, I = 42
- 56.01°, I = 23
- 63.22°, I = 23
- 77.65°, I = 30

# 3
Structure and theoretical powder X-ray diffraction pattern of YFe9Ge4 (a PBE-relaxed structure; λ = 1.5418 Å (Cu Kα)).

Structure:
```
YFe9Ge4
1.0
-4.0166 4.0166 5.9051
4.0166 -4.0166 5.9051
4.0166 4.0166 -5.9051
Y Fe Ge
2 18 8
Direct
0.2500 0.2500 0.0000
0.7500 0.7500 0.0000
0.0000 0.5000 0.5000
0.0620 0.5620 0.2731
0.0631 0.8005 0.8636
0.1995 0.0631 0.2626
0.2111 0.9380 0.5000
0.2889 0.7889 0.7269
0.3005 0.5631 0.8636
0.4369 0.3005 0.7374
0.4380 0.7111 0.5000
0.5000 0.0000 0.5000
0.5620 0.2889 0.5000
0.5631 0.6995 0.2626
0.6995 0.4369 0.1364
0.7111 0.2111 0.2731
0.7889 0.0620 0.5000
0.8005 0.9369 0.7374
0.9369 0.1995 0.1364
0.9380 0.4380 0.7269
0.0536 0.1912 0.5000
0.1912 0.6912 0.1376
0.3088 0.4464 0.5000
0.4464 0.9464 0.1376
0.5536 0.0536 0.8624
0.6912 0.5536 0.5000
0.8088 0.3088 0.8624
0.9464 0.8088 0.5000
```

Peak list (10 most intense, 2θ = 15–90°, in order of rising 2θ)
- 15.60°, I = 21
- 34.23°, I = 28
- 35.06°, I = 21
- 35.33°, I = 21
- 37.82°, I = 59
- 38.58°, I = 88
- 45.98°, I = 57
- 46.85°, I = 75
- 47.27°, I = 100
- 48.05°, I = 21

# 4
Structure and theoretical powder X-ray diffraction pattern of Ba2As2Se5 (a PBE-relaxed structure; λ = 1.5418 Å (Cu Kα)).

Structure:
```
Ba2As2Se5
1.0
9.5500 0.0000 0.0000
0.0000 12.6283 0.0000
-4.6698 0.0000 9.1522
Ba As Se
8 8 20
Direct
0.0765 0.0000 0.1418
0.1775 0.6573 0.3474
0.3305 0.1595 0.6454
0.4168 0.5071 0.8406
0.5832 0.0071 0.1594
0.6695 0.6595 0.3546
0.8225 0.1573 0.6526
0.9235 0.5000 0.8582
0.0370 0.4237 0.5113
0.2178 0.7372 0.0082
0.2367 0.8484 0.7533
0.3937 0.3080 0.2622
0.6063 0.8080 0.7378
0.7633 0.3484 0.2467
0.7822 0.2372 0.9918
0.9630 0.9237 0.4887
0.0435 0.2464 0.0122
0.0484 0.6052 0.6045
0.1146 0.3300 0.7379
0.2154 0.0157 0.8600
0.2700 0.4110 0.4792
0.2978 0.5580 0.1004
0.3401 0.8909 0.5725
0.3715 0.8305 0.2367
0.4332 0.1327 0.3667
0.4912 0.2792 0.0735
0.5088 0.7792 0.9265
0.5668 0.6327 0.6333
0.6285 0.3305 0.7633
0.6599 0.3909 0.4275
0.7022 0.0580 0.8996
0.7300 0.9110 0.5208
0.7846 0.5157 0.1400
0.8854 0.8300 0.2621
0.9516 0.1052 0.3955
0.9565 0.7464 0.9878
```

Peak list (10 most intense, 2θ = 15–90°, in order of rising 2θ)
- 23.28°, I = 18
- 27.76°, I = 69
- 28.07°, I = 63
- 29.86°, I = 38
- 29.97°, I = 100
- 30.40°, I = 19
- 32.60°, I = 50
- 37.67°, I = 40
- 42.00°, I = 26
- 47.54°, I = 18

# 5
Structure and theoretical powder X-ray diffraction pattern of Hf2TiPbN (a PBE-relaxed structure; λ = 1.5418 Å (Cu Kα)).

Structure:
```
Hf2TiPbN
1.0
4.6064 0.0000 0.0000
0.0000 4.6064 0.0000
0.0000 0.0000 4.0694
Hf Ti Pb N
2 1 1 1
Direct
0.0000 0.5000 0.0000
0.5000 0.0000 0.0000
0.0000 0.0000 0.5000
0.5000 0.5000 0.5000
0.0000 0.0000 0.0000
```

Peak list (10 most intense, 2θ = 15–90°, in order of rising 2θ)
- 19.27°, I = 12
- 29.28°, I = 14
- 35.30°, I = 100
- 39.11°, I = 41
- 44.53°, I = 14
- 56.50°, I = 14
- 60.74°, I = 23
- 68.40°, I = 30
- 74.65°, I = 12
- 76.00°, I = 11

# 6
Structure and theoretical powder X-ray diffraction pattern of TiV2H5 (a PBE-relaxed structure; λ = 1.5418 Å (Cu Kα)).

Structure:
```
TiV2H5
1.0
-2.5670 2.5670 4.3580
2.5670 -2.5670 4.3580
2.5670 2.5670 -4.3580
Ti V H
2 4 10
Direct
0.2500 0.2500 0.0000
0.7500 0.7500 0.0000
0.1981 0.6981 0.8963
0.3019 0.1981 0.5000
0.6981 0.8019 0.5000
0.8019 0.3019 0.1037
0.0000 0.0000 0.0000
0.0121 0.7813 0.5000
0.2187 0.7187 0.2308
0.2813 0.5121 0.5000
0.4879 0.9879 0.7692
0.5000 0.5000 0.0000
0.5121 0.0121 0.2308
0.7187 0.4879 0.5000
0.7813 0.2813 0.7692
0.9879 0.2187 0.5000
```

Peak list (10 most intense, 2θ = 15–90°, in order of rising 2θ)
- 20.38°, I = 29
- 24.52°, I = 17
- 32.09°, I = 39
- 40.64°, I = 39
- 40.80°, I = 100
- 41.44°, I = 32
- 50.27°, I = 20
- 50.68°, I = 23
- 67.12°, I = 15
- 75.15°, I = 14

# 7
Structure and theoretical powder X-ray diffraction pattern of MgSc2Hg3 (a PBE-relaxed structure; λ = 1.5418 Å (Cu Kα)).

Structure:
```
MgSc2Hg3
1.0
4.9314 0.0000 0.0000
-2.4657 4.2707 0.0000
0.0000 0.0000 12.1668
Mg Sc Hg
2 4 6
Direct
0.3333 0.6667 0.1661
0.6667 0.3333 0.8339
0.0000 0.0000 0.0000
0.0000 0.0000 0.5000
0.3333 0.6667 0.6723
0.6667 0.3333 0.3277
0.0000 0.0000 0.2505
0.0000 0.0000 0.7495
0.3333 0.6667 0.4188
0.3333 0.6667 0.9183
0.6667 0.3333 0.0817
0.6667 0.3333 0.5812
```

Peak list (10 most intense, 2θ = 15–90°, in order of rising 2θ)
- 25.48°, I = 100
- 36.26°, I = 90
- 36.44°, I = 89
- 44.99°, I = 23
- 52.35°, I = 32
- 58.97°, I = 22
- 59.22°, I = 21
- 65.11°, I = 16
- 65.46°, I = 32
- 65.58°, I = 16

# 8
Structure and theoretical powder X-ray diffraction pattern of GaSiN (a PBE-relaxed structure; λ = 1.5418 Å (Cu Kα)).

Structure:
```
GaSiN
1.0
9.1660 0.0000 0.0000
0.0000 2.9126 0.0000
-2.8055 0.0000 6.7741
Ga Si N
4 4 4
Direct
0.0000 0.0000 0.0000
0.2151 0.5000 0.9364
0.5000 0.5000 0.0000
0.7151 0.0000 0.9364
0.1527 0.5000 0.4323
0.4398 0.5000 0.6326
0.6527 0.0000 0.4323
0.9398 0.0000 0.6326
0.0438 0.5000 0.5960
0.1071 0.0000 0.2974
0.5438 0.0000 0.5960
0.6071 0.5000 0.2974
```

Peak list (10 most intense, 2θ = 15–90°, in order of rising 2θ)
- 20.98°, I = 40
- 26.31°, I = 89
- 32.51°, I = 75
- 33.56°, I = 53
- 39.48°, I = 100
- 39.93°, I = 64
- 42.91°, I = 46
- 44.71°, I = 46
- 48.87°, I = 35
- 59.21°, I = 35

# 9
Structure and theoretical powder X-ray diffraction pattern of Ba2B10O17 (a PBE-relaxed structure; λ = 1.5418 Å (Cu Kα)).

Structure:
```
Ba2B10O17
1.0
6.8145 0.0000 0.0000
3.0998 9.6753 0.0000
1.3479 2.3208 9.9537
Ba B O
4 20 34
Direct
0.2328 0.4813 0.2116
0.2437 0.0238 0.2803
0.7563 0.9762 0.7197
0.7672 0.5187 0.7884
0.0135 0.7678 0.4761
0.1341 0.2479 0.9797
0.2225 0.7116 0.8841
0.2355 0.5034 0.5334
0.2469 0.1074 0.6962
0.2724 0.7955 0.6295
0.2824 0.9897 0.9507
0.2997 0.3889 0.7854
0.3564 0.2452 0.4775
0.4861 0.2723 0.9937
0.5139 0.7277 0.0063
0.6436 0.7548 0.5225
0.7003 0.6111 0.2146
0.7176 0.0103 0.0493
0.7276 0.2045 0.3705
0.7531 0.8926 0.3038
0.7645 0.4966 0.4666
0.7775 0.2884 0.1159
0.8659 0.7521 0.0203
0.9865 0.2322 0.5239
0.0509 0.1352 0.6586
0.0807 0.6785 0.9832
0.1236 0.6253 0.4520
0.1538 0.0941 0.0094
0.1595 0.3128 0.8339
0.1592 0.7736 0.7538
0.1629 0.8288 0.5172
0.1687 0.2316 0.4298
0.2540 0.4943 0.6683
0.2812 0.2700 0.0571
0.3218 0.0090 0.8130
0.3370 0.3955 0.4714
0.3798 0.8644 0.0341
0.3977 0.1568 0.6138
0.4242 0.6746 0.9144
0.4635 0.3753 0.8567
0.4737 0.7960 0.6235
0.5263 0.2040 0.3765
0.5365 0.6247 0.1433
0.5758 0.3254 0.0856
0.6023 0.8432 0.3862
0.6202 0.1356 0.9659
0.6630 0.6045 0.5286
0.6782 0.9910 0.1870
0.7188 0.7300 0.9429
0.7460 0.5057 0.3317
0.8313 0.7684 0.5702
0.8371 0.1712 0.4828
0.8408 0.2264 0.2462
0.8405 0.6872 0.1661
0.8462 0.9059 0.9906
0.8764 0.3747 0.5480
0.9193 0.3215 0.0168
0.9491 0.8648 0.3414
```

Peak list (10 most intense, 2θ = 15–90°, in order of rising 2θ)
- 15.89°, I = 52
- 19.63°, I = 47
- 22.86°, I = 54
- 23.85°, I = 38
- 26.69°, I = 28
- 27.54°, I = 43
- 28.68°, I = 45
- 28.94°, I = 100
- 36.83°, I = 29
- 40.51°, I = 35

# 10
Structure and theoretical powder X-ray diffraction pattern of Nd3Cu3Sb4 (a PBE-relaxed structure; λ = 1.5418 Å (Cu Kα)).

Structure:
```
Nd3Cu3Sb4
1.0
-4.8900 4.8900 4.8900
4.8900 -4.8900 4.8900
4.8900 4.8900 -4.8900
Nd Cu Sb
6 6 8
Direct
0.1250 0.8750 0.2500
0.2500 0.1250 0.8750
0.3750 0.6250 0.7500
0.6250 0.7500 0.3750
0.7500 0.3750 0.6250
0.8750 0.2500 0.1250
0.1250 0.7500 0.8750
0.2500 0.6250 0.3750
0.3750 0.2500 0.6250
0.6250 0.3750 0.2500
0.7500 0.8750 0.1250
0.8750 0.1250 0.7500
0.0000 0.1604 0.5000
0.0000 0.6604 0.5000
0.1604 0.5000 0.0000
0.3396 0.3396 0.3396
0.5000 0.0000 0.1604
0.5000 0.0000 0.6604
0.6604 0.5000 0.0000
0.8396 0.8396 0.8396
```

Peak list (10 most intense, 2θ = 15–90°, in order of rising 2θ)
- 28.87°, I = 51
- 34.31°, I = 100
- 41.28°, I = 34
- 43.40°, I = 10
- 45.43°, I = 17
- 47.40°, I = 11
- 58.15°, I = 17
- 59.81°, I = 13
- 61.44°, I = 9
- 70.80°, I = 14

# 11
Structure and theoretical powder X-ray diffraction pattern of Na2AcBi2 (a PBE-relaxed structure; λ = 1.5418 Å (Cu Kα)).

Structure:
```
Na2AcBi2
1.0
5.1713 0.0000 0.0000
-2.5856 4.4784 0.0000
0.0000 0.0000 21.7228
Na Ac Bi
6 3 6
Direct
0.0000 0.0000 0.1974
0.0000 0.0000 0.8026
0.3333 0.6667 0.4692
0.3333 0.6667 0.8641
0.6667 0.3333 0.1359
0.6667 0.3333 0.5308
0.0000 0.0000 0.0000
0.3333 0.6667 0.6667
0.6667 0.3333 0.3333
0.0000 0.0000 0.4168
0.0000 0.0000 0.5832
0.3333 0.6667 0.0835
0.3333 0.6667 0.2498
0.6667 0.3333 0.7502
0.6667 0.3333 0.9165
```

Peak list (10 most intense, 2θ = 15–90°, in order of rising 2θ)
- 21.46°, I = 77
- 28.63°, I = 100
- 34.69°, I = 73
- 35.18°, I = 44
- 45.58°, I = 29
- 46.46°, I = 15
- 50.24°, I = 17
- 58.52°, I = 28
- 62.50°, I = 18
- 62.65°, I = 22